Diffraction record for La2Ga12Ni. The powder diffractogram is theoretical, not measured: it uses a crystal structure in the Materials Project, relaxed with PBE and Cu Kα (λ = 1.5418 Å).

Most intense lines, 10° ≤ 2θ ≤ 90°, low angle first:
30.6 deg, intensity 51
31.3 deg, intensity 100
37.2 deg, intensity 27
40.1 deg, intensity 44
41.7 deg, intensity 63
45.4 deg, intensity 26
50.8 deg, intensity 13
52.6 deg, intensity 26
60.5 deg, intensity 14
67.8 deg, intensity 19

Structural model:
```
La2Ga12Ni
1.0
6.1231 0.0000 0.0000
0.0000 6.1231 0.0000
0.0000 0.0000 15.8034
La Ga Ni
4 24 2
Direct
0.2500 0.7500 0.2443 La
0.2500 0.7500 0.7557 La
0.7500 0.2500 0.2443 La
0.7500 0.2500 0.7557 La
0.0004 0.9996 0.0829 Ga
0.9996 0.0004 0.9171 Ga
0.9996 0.4996 0.0829 Ga
0.0004 0.5004 0.9171 Ga
0.0674 0.5674 0.4275 Ga
0.0674 0.9326 0.5725 Ga
0.2500 0.2500 0.1808 Ga
0.2500 0.2500 0.3388 Ga
0.2500 0.2500 0.6612 Ga
0.2500 0.2500 0.8192 Ga
0.4326 0.5674 0.5725 Ga
0.4326 0.9326 0.4275 Ga
0.5004 0.0004 0.0829 Ga
0.4996 0.9996 0.9171 Ga
0.4996 0.5004 0.0829 Ga
0.5004 0.4996 0.9171 Ga
0.5674 0.0674 0.5725 Ga
0.5674 0.4326 0.4275 Ga
0.7500 0.7500 0.1808 Ga
0.7500 0.7500 0.3388 Ga
0.7500 0.7500 0.6612 Ga
0.7500 0.7500 0.8192 Ga
0.9326 0.0674 0.4275 Ga
0.9326 0.4326 0.5725 Ga
0.2500 0.7500 0.0000 Ni
0.7500 0.2500 0.0000 Ni
```